Structure and theoretical PXRD pattern of Er2CO7 (a DFT-relaxed cell (GGA-PBE, the Materials Project); Cu Kα).

Main lines, in order of falling intensity (10 to 90 degrees two-theta):
2θ (°)	I_rel
13.94	100
26.93	48
20.51	30
29.42	30
31.98	25
51.66	22
30.21	17
33.41	17
45.49	15
41.29	13

Structure:
```
Er2CO7
1.0
6.383 0.000 0.000
0.000 5.917 0.000
-1.529 0.000 15.982
Er C O
8 4 28
Direct
0.075 0.233 0.076
0.075 0.267 0.576
0.103 0.233 0.323
0.103 0.267 0.823
0.897 0.733 0.177
0.897 0.767 0.677
0.925 0.733 0.424
0.925 0.767 0.924
0.426 0.577 0.882
0.426 0.923 0.382
0.574 0.077 0.618
0.574 0.423 0.118
0.076 0.622 0.052
0.076 0.878 0.552
0.107 0.043 0.200
0.107 0.457 0.700
0.135 0.091 0.951
0.135 0.409 0.451
0.147 0.017 0.721
0.147 0.483 0.221
0.231 0.646 0.879
0.231 0.854 0.379
0.424 0.211 0.595
0.424 0.289 0.095
0.453 0.129 0.360
0.453 0.371 0.860
0.547 0.629 0.140
0.547 0.871 0.640
0.576 0.711 0.905
0.576 0.789 0.405
0.769 0.146 0.621
0.769 0.354 0.121
0.853 0.517 0.779
0.853 0.983 0.279
0.865 0.591 0.549
0.865 0.909 0.049
0.893 0.543 0.300
0.893 0.957 0.800
0.924 0.122 0.448
0.924 0.378 0.948
```



Structure and theoretical PXRD pattern of ErC2O6 (a DFT-relaxed cell (GGA-PBE, the Materials Project); Cu Kα).

Main lines, in order of falling intensity (10 to 90 degrees two-theta):
2θ (°)	I_rel
11.77	100
18.50	50
32.12	30
12.93	29
21.16	27
31.95	23
29.78	21
37.17	20
46.22	15
26.03	15

Structure:
```
ErC2O6
1.0
3.845 -7.519 0.000
3.845 7.519 0.000
-0.001 0.000 4.796
Er C O
2 4 12
Direct
0.203 0.797 0.000
0.797 0.203 0.000
0.031 0.580 0.504
0.101 0.101 0.000
0.580 0.031 0.504
0.893 0.893 0.000
0.095 0.246 0.000
0.131 0.769 0.503
0.246 0.095 0.000
0.360 0.642 0.099
0.494 0.989 0.264
0.495 0.991 0.742
0.642 0.360 0.099
0.748 0.900 0.999
0.769 0.131 0.503
0.900 0.748 0.999
0.989 0.494 0.264
0.991 0.495 0.742
```



Structure and theoretical PXRD pattern of Er2OsC2 (a DFT-relaxed cell (GGA-PBE, the Materials Project); Cu Kα).

Main lines, in order of falling intensity (10 to 90 degrees two-theta):
2θ (°)	I_rel
34.33	100
32.74	78
35.37	69
35.68	54
33.45	29
33.03	26
39.53	24
54.07	19
49.47	19
63.73	18

Structure:
```
Er2OsC2
1.0
6.415 0.000 0.000
0.000 5.076 0.000
0.000 0.000 9.742
Er Os C
8 4 8
Direct
0.025 0.250 0.220
0.184 0.250 0.553
0.316 0.750 0.053
0.475 0.750 0.720
0.525 0.250 0.280
0.684 0.250 0.947
0.816 0.750 0.447
0.975 0.750 0.780
0.226 0.250 0.866
0.274 0.750 0.366
0.726 0.250 0.634
0.774 0.750 0.134
0.038 0.750 0.242
0.174 0.750 0.555
0.326 0.250 0.055
0.462 0.250 0.742
0.538 0.750 0.258
0.674 0.750 0.945
0.826 0.250 0.445
0.962 0.250 0.758
```